Entry 1:
Diffraction record for Ag6OsO8. The powder X-ray diffraction pattern is calculated, not measured: it uses a cell relaxed with PBE and λ = 1.5418 Å (Cu Kα).
Neutral-atom scattering factors, no anomalous dispersion.

Most intense lines, 2θ from 5° to 70°, by angle:
2θ = 16.35°, 5.422 Å, I = 47; 2θ = 31.59°, 2.832 Å, I = 20; 2θ = 33.04°, 2.711 Å, I = 100; 2θ = 38.34°, 2.348 Å, I = 85; 2θ = 41.93°, 2.155 Å, I = 6; 2θ = 50.49°, 1.807 Å, I = 10; 2θ = 55.33°, 1.660 Å, I = 53; 2θ = 58.10°, 1.588 Å, I = 9; 2θ = 65.98°, 1.416 Å, I = 44; 2θ = 69.32°, 1.356 Å, I = 17

Structural model:
Unit cell a=6.6411 b=6.6411 c=6.6411 alpha=60.00 beta=60.00 gamma=60.00
Positions (direct):
Ag1 0.0000 0.0000 0.5000
Ag2 0.0000 0.5000 0.0000
Ag3 0.0000 0.5000 0.5000
Ag4 0.5000 0.0000 0.0000
Ag5 0.5000 0.0000 0.5000
Ag6 0.5000 0.5000 0.0000
Os1 0.0000 0.0000 0.0000
O1 0.2044 0.2044 0.7956
O2 0.2044 0.7956 0.2044
O3 0.2044 0.7956 0.7956
O4 0.2500 0.2500 0.2500
O5 0.7500 0.7500 0.7500
O6 0.7956 0.2044 0.2044
O7 0.7956 0.2044 0.7956
O8 0.7956 0.7956 0.2044

=====

Entry 2:
Diffraction record for InNi17. The powder X-ray diffraction pattern is calculated, not measured: it uses a cell relaxed with PBE and λ = 1.5418 Å (Cu Kα).
Neutral-atom scattering factors, no anomalous dispersion.

Most intense lines, 2θ from 5° to 70°, by angle:
2θ = 6.63°, 13.339 Å, I = 100; 2θ = 9.95°, 8.893 Å, I = 5; 2θ = 26.70°, 3.339 Å, I = 3; 2θ = 42.75°, 2.115 Å, I = 5; 2θ = 44.13°, 2.052 Å, I = 16; 2θ = 44.41°, 2.040 Å, I = 55; 2θ = 45.63°, 1.988 Å, I = 28; 2θ = 47.73°, 1.906 Å, I = 5; 2θ = 50.64°, 1.803 Å, I = 19; 2θ = 52.71°, 1.736 Å, I = 27

Structural model:
Unit cell a=4.9479 b=4.9479 c=26.6781 alpha=90.00 beta=90.00 gamma=120.00
Positions (direct):
In1 0.3333 0.6667 0.3330
In2 0.6667 0.3333 0.6670
Ni1 0.0000 0.0000 0.0000
Ni2 0.0000 0.0000 0.2272
Ni3 0.0000 0.0000 0.7728
Ni4 0.0000 0.5000 0.0000
Ni5 0.0024 0.5012 0.2280
Ni6 0.1659 0.3317 0.6980
Ni7 0.1659 0.8341 0.6980
Ni8 0.1670 0.3340 0.1516
Ni9 0.1668 0.3336 0.9241
Ni10 0.1670 0.8330 0.1516
Ni11 0.1668 0.8332 0.9241
Ni12 0.3317 0.1659 0.3020
Ni13 0.3333 0.6667 0.0757
Ni14 0.3333 0.6667 0.8482
Ni15 0.3336 0.1668 0.0759
Ni16 0.3340 0.1670 0.8484
Ni17 0.4988 0.5012 0.2280
Ni18 0.4988 0.9976 0.2280
Ni19 0.5000 0.0000 0.0000
Ni20 0.5000 0.5000 0.0000
Ni21 0.5012 0.0024 0.7720
Ni22 0.5012 0.4988 0.7720
Ni23 0.6660 0.8330 0.1516
Ni24 0.6664 0.8332 0.9241
Ni25 0.6667 0.3333 0.1518
Ni26 0.6667 0.3333 0.9243
Ni27 0.6683 0.8341 0.6980
Ni28 0.8332 0.1668 0.0759
Ni29 0.8330 0.1670 0.8484
Ni30 0.8332 0.6664 0.0759
Ni31 0.8330 0.6660 0.8484
Ni32 0.8341 0.1659 0.3020
Ni33 0.8341 0.6683 0.3020
Ni34 0.9976 0.4988 0.7720

=====

Entry 3:
Diffraction record for Pr2Ge2O7. The powder X-ray diffraction pattern is calculated, not measured: it uses a cell relaxed with PBE and λ = 1.5418 Å (Cu Kα).
Neutral-atom scattering factors, no anomalous dispersion.

Most intense lines, 2θ from 5° to 70°, by angle:
2θ = 25.44°, 3.501 Å, I = 49; 2θ = 28.16°, 3.169 Å, I = 85; 2θ = 28.25°, 3.159 Å, I = 100; 2θ = 29.15°, 3.064 Å, I = 45; 2θ = 29.59°, 3.019 Å, I = 74; 2θ = 29.71°, 3.007 Å, I = 37; 2θ = 30.09°, 2.969 Å, I = 39; 2θ = 30.63°, 2.919 Å, I = 62; 2θ = 32.39°, 2.764 Å, I = 42; 2θ = 46.21°, 1.964 Å, I = 37

Structural model:
Unit cell a=6.8617 b=7.0080 c=7.0337 alpha=64.35 beta=87.56 gamma=88.69
Positions (direct):
Pr1 0.0000 0.0000 0.0000
Pr2 0.0595 0.5108 0.4827
Pr3 0.2977 0.9852 0.4854
Pr4 0.5689 0.4238 0.8419
Ge1 0.1053 0.4760 0.9681
Ge2 0.4635 0.8659 0.0305
Ge3 0.5681 0.4245 0.3451
Ge4 0.8006 0.9939 0.5000
O1 0.0126 0.6110 0.1107
O2 0.2462 0.6103 0.7261
O3 0.2508 0.2455 0.0970
O4 0.2896 0.9600 0.8389
O5 0.3318 0.7931 0.2728
O6 0.3481 0.3278 0.4816
O7 0.5580 0.6050 0.0725
O8 0.6165 0.8227 0.6497
O9 0.6529 0.0463 0.9704
O10 0.6625 0.2051 0.2968
O11 0.7093 0.4959 0.4994
O12 0.9184 0.3824 0.8593
O13 0.9662 0.8821 0.3752
O14 0.9700 0.1080 0.6044

=====

Please write out number 2 again, unchanged.
Diffraction record for InNi17. The powder X-ray diffraction pattern is calculated, not measured: it uses a cell relaxed with PBE and λ = 1.5418 Å (Cu Kα).
Neutral-atom scattering factors, no anomalous dispersion.

Most intense lines, 2θ from 5° to 70°, by angle:
2θ = 6.63°, 13.339 Å, I = 100; 2θ = 9.95°, 8.893 Å, I = 5; 2θ = 26.70°, 3.339 Å, I = 3; 2θ = 42.75°, 2.115 Å, I = 5; 2θ = 44.13°, 2.052 Å, I = 16; 2θ = 44.41°, 2.040 Å, I = 55; 2θ = 45.63°, 1.988 Å, I = 28; 2θ = 47.73°, 1.906 Å, I = 5; 2θ = 50.64°, 1.803 Å, I = 19; 2θ = 52.71°, 1.736 Å, I = 27

Structural model:
Unit cell a=4.9479 b=4.9479 c=26.6781 alpha=90.00 beta=90.00 gamma=120.00
Positions (direct):
In1 0.3333 0.6667 0.3330
In2 0.6667 0.3333 0.6670
Ni1 0.0000 0.0000 0.0000
Ni2 0.0000 0.0000 0.2272
Ni3 0.0000 0.0000 0.7728
Ni4 0.0000 0.5000 0.0000
Ni5 0.0024 0.5012 0.2280
Ni6 0.1659 0.3317 0.6980
Ni7 0.1659 0.8341 0.6980
Ni8 0.1670 0.3340 0.1516
Ni9 0.1668 0.3336 0.9241
Ni10 0.1670 0.8330 0.1516
Ni11 0.1668 0.8332 0.9241
Ni12 0.3317 0.1659 0.3020
Ni13 0.3333 0.6667 0.0757
Ni14 0.3333 0.6667 0.8482
Ni15 0.3336 0.1668 0.0759
Ni16 0.3340 0.1670 0.8484
Ni17 0.4988 0.5012 0.2280
Ni18 0.4988 0.9976 0.2280
Ni19 0.5000 0.0000 0.0000
Ni20 0.5000 0.5000 0.0000
Ni21 0.5012 0.0024 0.7720
Ni22 0.5012 0.4988 0.7720
Ni23 0.6660 0.8330 0.1516
Ni24 0.6664 0.8332 0.9241
Ni25 0.6667 0.3333 0.1518
Ni26 0.6667 0.3333 0.9243
Ni27 0.6683 0.8341 0.6980
Ni28 0.8332 0.1668 0.0759
Ni29 0.8330 0.1670 0.8484
Ni30 0.8332 0.6664 0.0759
Ni31 0.8330 0.6660 0.8484
Ni32 0.8341 0.1659 0.3020
Ni33 0.8341 0.6683 0.3020
Ni34 0.9976 0.4988 0.7720